Record 1
Theoretical powder diffraction line list
Compound: ErGaH
Radiation: Cu Kα, 1.54184 Å
Structure: a cell relaxed with PBE
Peak positions follow from Bragg's law for the DFT cell and can differ from measured ones.

Peak list (10 most intense, 2θ from 15° to 90°, in order of rising 2θ)
| 2theta | Rel. int. |
| --- | --- |
| 27.5 | 27.2 |
| 31.3 | 100.0 |
| 32.3 | 38.1 |
| 33.1 | 29.7 |
| 39.4 | 53.4 |
| 41.7 | 25.9 |
| 44.7 | 21.1 |
| 54.2 | 14.7 |
| 56.2 | 15.9 |
| 62.8 | 15.2 |

Structure:
Lattice parameters (Å, degrees): 5.8260 5.8260 4.0530 90.00 90.00 136.33
Fractional positions:
Er 0.1372 0.8628 0.7500
Er 0.8628 0.1372 0.2500
Ga 0.4207 0.5793 0.7500
Ga 0.5793 0.4207 0.2500
H 0.0637 0.9363 0.2500
H 0.9363 0.0637 0.7500

=====

Record 2
Theoretical powder diffraction line list
Compound: ErHfGa6
Radiation: Cu Kα, 1.54184 Å
Structure: a cell relaxed with PBE
Peak positions follow from Bragg's law for the DFT cell and can differ from measured ones.

Peak list (10 most intense, 2θ from 15° to 90°, in order of rising 2θ)
| 2theta | Rel. int. |
| --- | --- |
| 21.3 | 19.0 |
| 30.3 | 16.0 |
| 37.3 | 100.0 |
| 43.3 | 32.9 |
| 43.4 | 16.1 |
| 62.8 | 10.7 |
| 63.0 | 21.0 |
| 75.4 | 24.8 |
| 75.6 | 12.0 |
| 79.5 | 10.6 |

Structure:
Lattice parameters (Å, degrees): 4.1834 4.1834 8.3348 90.00 90.00 90.00
Fractional positions:
Er 0.0000 0.0000 0.0000
Hf 0.0000 0.0000 0.5000
Ga 0.0000 0.5000 0.2571
Ga 0.0000 0.5000 0.7429
Ga 0.5000 0.0000 0.2571
Ga 0.5000 0.0000 0.7429
Ga 0.5000 0.5000 0.0000
Ga 0.5000 0.5000 0.5000

=====

Record 3
Theoretical powder diffraction line list
Compound: Er5GaHg4
Radiation: Cu Kα, 1.54184 Å
Structure: a cell relaxed with PBE
Peak positions follow from Bragg's law for the DFT cell and can differ from measured ones.

Peak list (10 most intense, 2θ from 15° to 90°, in order of rising 2θ)
| 2theta | Rel. int. |
| --- | --- |
| 24.8 | 0.9 |
| 26.2 | 0.9 |
| 28.4 | 1.0 |
| 31.3 | 1.9 |
| 34.6 | 100.0 |
| 49.8 | 17.9 |
| 57.6 | 0.9 |
| 62.1 | 36.7 |
| 73.1 | 11.3 |
| 83.5 | 16.1 |

Structure:
Lattice parameters (Å, degrees): 3.6627 3.6627 18.3127 90.00 90.00 90.00
Fractional positions:
Er 0.0000 0.0000 0.0000
Er 0.0000 0.0000 0.2036
Er 0.0000 0.0000 0.4067
Er 0.0000 0.0000 0.5933
Er 0.0000 0.0000 0.7964
Ga 0.5000 0.5000 0.5000
Hg 0.5000 0.5000 0.1020
Hg 0.5000 0.5000 0.3048
Hg 0.5000 0.5000 0.6952
Hg 0.5000 0.5000 0.8980

=====

Record 4
Theoretical powder diffraction line list
Compound: Er6GaHg2
Radiation: Cu Kα, 1.54184 Å
Structure: a cell relaxed with PBE
Peak positions follow from Bragg's law for the DFT cell and can differ from measured ones.

Peak list (10 most intense, 2θ from 15° to 90°, in order of rising 2θ)
| 2theta | Rel. int. |
| --- | --- |
| 17.3 | 51.4 |
| 24.6 | 17.8 |
| 29.6 | 100.0 |
| 35.0 | 63.0 |
| 36.7 | 52.4 |
| 44.7 | 36.6 |
| 46.5 | 42.7 |
| 50.4 | 18.2 |
| 61.4 | 23.7 |
| 75.1 | 23.3 |

Structure:
Lattice parameters (Å, degrees): 7.2421 7.2421 11.2290 90.00 90.00 90.00
Fractional positions:
Er 0.2176 0.2176 0.1580
Er 0.2176 0.2176 0.8420
Er 0.2242 0.2242 0.5000
Er 0.2758 0.7242 0.0000
Er 0.2824 0.7176 0.3420
Er 0.2824 0.7176 0.6580
Er 0.7176 0.2824 0.3420
Er 0.7176 0.2824 0.6580
Er 0.7242 0.2758 0.0000
Er 0.7758 0.7758 0.5000
Er 0.7824 0.7824 0.1580
Er 0.7824 0.7824 0.8420
Ga 0.0000 0.0000 0.0000
Ga 0.5000 0.5000 0.5000
Hg 0.0000 0.0000 0.3277
Hg 0.0000 0.0000 0.6723
Hg 0.5000 0.5000 0.1723
Hg 0.5000 0.5000 0.8277

=====

Record 5
Theoretical powder diffraction line list
Compound: Er3Ga4Hg
Radiation: Cu Kα, 1.54184 Å
Structure: a cell relaxed with PBE
Peak positions follow from Bragg's law for the DFT cell and can differ from measured ones.

Peak list (10 most intense, 2θ from 15° to 90°, in order of rising 2θ)
| 2theta | Rel. int. |
| --- | --- |
| 21.2 | 15.0 |
| 30.2 | 18.7 |
| 31.0 | 100.0 |
| 35.6 | 54.1 |
| 37.1 | 15.6 |
| 41.7 | 18.1 |
| 43.2 | 14.9 |
| 43.8 | 17.3 |
| 51.7 | 24.2 |
| 64.6 | 19.0 |

Structure:
Lattice parameters (Å, degrees): 9.1218 9.1218 9.1218 157.78 139.43 46.73
Fractional positions:
Er 0.0000 0.0000 0.0000
Er 0.2857 0.7857 0.5000
Er 0.7143 0.2143 0.5000
Ga 0.0835 0.3751 0.7084
Ga 0.3333 0.6249 0.7084
Ga 0.6667 0.3751 0.2916
Ga 0.9165 0.6249 0.2916
Hg 0.5000 0.5000 0.0000

=====

Record 6
Theoretical powder diffraction line list
Compound: Er3Ga2Hg3
Radiation: Cu Kα, 1.54184 Å
Structure: a cell relaxed with PBE
Peak positions follow from Bragg's law for the DFT cell and can differ from measured ones.

Peak list (10 most intense, 2θ from 15° to 90°, in order of rising 2θ)
| 2theta | Rel. int. |
| --- | --- |
| 31.8 | 25.7 |
| 31.9 | 100.0 |
| 32.8 | 26.0 |
| 36.5 | 55.6 |
| 39.7 | 32.3 |
| 40.5 | 15.4 |
| 40.9 | 36.1 |
| 44.5 | 15.1 |
| 53.3 | 15.2 |
| 63.1 | 15.2 |

Structure:
Lattice parameters (Å, degrees): 5.8962 5.8962 15.3666 90.00 90.00 136.00
Fractional positions:
Er 0.0766 0.9234 0.6114
Er 0.0766 0.9234 0.8886
Er 0.3514 0.6486 0.7500
Er 0.6486 0.3514 0.2500
Er 0.9234 0.0766 0.1114
Er 0.9234 0.0766 0.3886
Ga 0.2066 0.7934 0.1178
Ga 0.2066 0.7934 0.3822
Ga 0.7934 0.2066 0.6178
Ga 0.7934 0.2066 0.8822
Hg 0.3717 0.6283 0.5330
Hg 0.3717 0.6283 0.9670
Hg 0.3756 0.6244 0.2500
Hg 0.6244 0.3756 0.7500
Hg 0.6283 0.3717 0.0330
Hg 0.6283 0.3717 0.4670

=====

Record 7
Theoretical powder diffraction line list
Compound: Er2GaHg
Radiation: Cu Kα, 1.54184 Å
Structure: a cell relaxed with PBE
Peak positions follow from Bragg's law for the DFT cell and can differ from measured ones.

Peak list (10 most intense, 2θ from 15° to 90°, in order of rising 2θ)
| 2theta | Rel. int. |
| --- | --- |
| 31.6 | 4.2 |
| 34.9 | 50.4 |
| 35.1 | 100.0 |
| 50.2 | 17.8 |
| 50.9 | 8.9 |
| 62.7 | 36.2 |
| 63.2 | 18.8 |
| 74.2 | 11.9 |
| 84.3 | 11.9 |
| 85.4 | 8.7 |

Structure:
Lattice parameters (Å, degrees): 5.1381 3.5897 10.2955 90.00 90.00 90.00
Fractional positions:
Er 0.2500 0.0000 0.1137
Er 0.2500 0.0000 0.6314
Er 0.7500 0.0000 0.3686
Er 0.7500 0.0000 0.8863
Ga 0.2500 0.5000 0.8722
Ga 0.7500 0.5000 0.1278
Hg 0.2500 0.5000 0.3691
Hg 0.7500 0.5000 0.6309

=====

Record 8
Theoretical powder diffraction line list
Compound: Er4GaHgN
Radiation: Cu Kα, 1.54184 Å
Structure: a cell relaxed with PBE
Peak positions follow from Bragg's law for the DFT cell and can differ from measured ones.

Peak list (10 most intense, 2θ from 15° to 90°, in order of rising 2θ)
| 2theta | Rel. int. |
| --- | --- |
| 26.6 | 17.8 |
| 29.4 | 87.6 |
| 36.4 | 25.2 |
| 36.6 | 100.0 |
| 37.3 | 23.6 |
| 38.0 | 76.1 |
| 54.3 | 32.0 |
| 54.9 | 26.4 |
| 63.5 | 20.3 |
| 67.8 | 33.6 |

Structure:
Lattice parameters (Å, degrees): 7.9694 7.9694 6.6935 90.00 90.00 130.33
Fractional positions:
Er 0.0000 0.5000 0.0000
Er 0.0000 0.5000 0.5000
Er 0.0790 0.9210 0.7500
Er 0.4188 0.5812 0.7500
Er 0.5000 0.0000 0.0000
Er 0.5000 0.0000 0.5000
Er 0.5812 0.4188 0.2500
Er 0.9210 0.0790 0.2500
Ga 0.1242 0.8758 0.2500
Ga 0.8758 0.1242 0.7500
Hg 0.3823 0.6177 0.2500
Hg 0.6177 0.3823 0.7500
N 0.2480 0.7520 0.7500
N 0.7520 0.2480 0.2500

=====

Copy entry 4 word for word.
Theoretical powder diffraction line list
Compound: Er6GaHg2
Radiation: Cu Kα, 1.54184 Å
Structure: a cell relaxed with PBE
Peak positions follow from Bragg's law for the DFT cell and can differ from measured ones.

Peak list (10 most intense, 2θ from 15° to 90°, in order of rising 2θ)
| 2theta | Rel. int. |
| --- | --- |
| 17.3 | 51.4 |
| 24.6 | 17.8 |
| 29.6 | 100.0 |
| 35.0 | 63.0 |
| 36.7 | 52.4 |
| 44.7 | 36.6 |
| 46.5 | 42.7 |
| 50.4 | 18.2 |
| 61.4 | 23.7 |
| 75.1 | 23.3 |

Structure:
Lattice parameters (Å, degrees): 7.2421 7.2421 11.2290 90.00 90.00 90.00
Fractional positions:
Er 0.2176 0.2176 0.1580
Er 0.2176 0.2176 0.8420
Er 0.2242 0.2242 0.5000
Er 0.2758 0.7242 0.0000
Er 0.2824 0.7176 0.3420
Er 0.2824 0.7176 0.6580
Er 0.7176 0.2824 0.3420
Er 0.7176 0.2824 0.6580
Er 0.7242 0.2758 0.0000
Er 0.7758 0.7758 0.5000
Er 0.7824 0.7824 0.1580
Er 0.7824 0.7824 0.8420
Ga 0.0000 0.0000 0.0000
Ga 0.5000 0.5000 0.5000
Hg 0.0000 0.0000 0.3277
Hg 0.0000 0.0000 0.6723
Hg 0.5000 0.5000 0.1723
Hg 0.5000 0.5000 0.8277

=====

- Number 5 is which compound?
  Er3Ga4Hg